(1)
The following is a simulated PXRD pattern of Pr2ErAu2. It was derived from a GGA-PBE-relaxed structure, using Cu Kα.
Intensities are scaled so that the largest is 100.

Largest 6 diffraction maxima, by angle, 10 to 80 degrees two-theta:
d = 4.934 Å, I = 38
d = 2.885 Å, I = 32
d = 2.851 Å, I = 89
d = 2.569 Å, I = 100
d = 2.543 Å, I = 29
d = 1.585 Å, I = 41

```
Pr2ErAu2
1.0
-2.005 3.556 4.934
2.005 -3.556 4.934
2.005 3.556 -4.934
Pr Er Au
2 1 2
direct
0.200 0.200 0.000
0.800 0.800 0.000
0.500 0.000 0.500
0.210 0.500 0.710
0.790 0.500 0.290
```

=====

(2)
The following is a simulated PXRD pattern of Nb12Al3Cu. It was derived from a GGA-PBE-relaxed structure, using Cu Kα.
Intensities are scaled so that the largest is 100.

Largest 6 diffraction maxima, by angle, 10 to 80 degrees two-theta:
d = 3.675 Å, I = 24
d = 2.326 Å, I = 100
d = 2.319 Å, I = 50
d = 2.123 Å, I = 37
d = 1.500 Å, I = 21
d = 1.390 Å, I = 18

```
Nb12Al3Cu
1.0
5.202 0.000 0.000
0.000 5.205 0.000
0.000 0.000 10.364
Nb Al Cu
12 3 1
direct
0.000 0.000 0.122
0.000 0.000 0.372
0.000 0.000 0.628
0.000 0.000 0.878
0.251 0.500 0.247
0.251 0.500 0.753
0.500 0.248 0.500
0.500 0.254 0.000
0.500 0.746 0.000
0.500 0.752 0.500
0.749 0.500 0.247
0.749 0.500 0.753
0.000 0.500 0.500
0.500 0.000 0.251
0.500 0.000 0.749
0.000 0.500 0.000
```

=====

(3)
The following is a simulated PXRD pattern of ZrNp2Rh5. It was derived from a GGA-PBE-relaxed structure, using Cu Kα.
Intensities are scaled so that the largest is 100.

Largest 6 diffraction maxima, by angle, 10 to 80 degrees two-theta:
d = 2.408 Å, I = 31
d = 2.363 Å, I = 100
d = 2.354 Å, I = 82
d = 2.281 Å, I = 25
d = 2.195 Å, I = 47
d = 1.297 Å, I = 27

```
ZrNp2Rh5
1.0
5.759 0.000 0.000
0.000 11.214 0.000
0.000 0.000 4.390
Zr Np Rh
2 4 10
direct
0.000 0.000 0.000
0.500 0.500 0.000
0.157 0.355 0.500
0.343 0.855 0.500
0.657 0.145 0.500
0.843 0.645 0.500
0.000 0.500 0.000
0.112 0.754 0.000
0.180 0.107 0.500
0.320 0.607 0.500
0.388 0.254 0.000
0.500 0.000 0.000
0.612 0.746 0.000
0.680 0.393 0.500
0.820 0.893 0.500
0.888 0.246 0.000
```

=====

(4)
The following is a simulated PXRD pattern of KPa2Ge2N6. It was derived from a GGA-PBE-relaxed structure, using Cu Kα.
Intensities are scaled so that the largest is 100.

Largest 6 diffraction maxima, by angle, 10 to 80 degrees two-theta:
d = 5.362 Å, I = 100
d = 5.088 Å, I = 75
d = 3.108 Å, I = 83
d = 2.877 Å, I = 84
d = 2.842 Å, I = 85
d = 2.763 Å, I = 83

```
KPa2Ge2N6
1.0
6.232 0.000 0.000
2.714 5.724 0.000
3.065 2.041 5.467
K Pa Ge N
1 2 2 6
direct
0.000 0.000 0.000
0.323 0.052 0.311
0.677 0.948 0.689
0.326 0.542 0.696
0.674 0.458 0.304
0.071 0.749 0.561
0.351 0.225 0.912
0.438 0.782 0.681
0.562 0.218 0.319
0.649 0.775 0.088
0.929 0.251 0.439
```

=====

(5)
The following is a simulated PXRD pattern of UAs12Ru4. It was derived from a GGA-PBE-relaxed structure, using Cu Kα.
Intensities are scaled so that the largest is 100.

Largest 6 diffraction maxima, by angle, 10 to 80 degrees two-theta:
d = 3.032 Å, I = 38
d = 2.712 Å, I = 100
d = 2.292 Å, I = 60
d = 1.918 Å, I = 18
d = 1.751 Å, I = 49
d = 1.682 Å, I = 40

```
UAs12Ru4
1.0
-4.288 4.288 4.288
4.288 -4.288 4.288
4.288 4.288 -4.288
U As Ru
1 12 4
direct
0.000 0.000 0.000
0.150 0.345 0.495
0.150 0.655 0.804
0.196 0.850 0.345
0.345 0.196 0.850
0.345 0.495 0.150
0.495 0.150 0.345
0.505 0.850 0.655
0.655 0.505 0.850
0.655 0.804 0.150
0.804 0.150 0.655
0.850 0.345 0.196
0.850 0.655 0.505
0.000 0.000 0.500
0.000 0.500 0.000
0.500 0.000 0.000
0.500 0.500 0.500
```

=====

(6)
The following is a simulated PXRD pattern of La3Pm2Dy2. It was derived from a GGA-PBE-relaxed structure, using Cu Kα.
Intensities are scaled so that the largest is 100.

Largest 6 diffraction maxima, by angle, 10 to 80 degrees two-theta:
d = 2.993 Å, I = 100
d = 2.973 Å, I = 33
d = 2.588 Å, I = 67
d = 1.834 Å, I = 24
d = 1.825 Å, I = 24
d = 1.561 Å, I = 24

```
La3Pm2Dy2
1.0
3.668 0.000 0.000
1.830 6.077 0.000
0.012 1.170 10.884
La Pm Dy
3 2 2
direct
0.000 0.000 0.000
0.144 0.713 0.571
0.856 0.287 0.429
0.285 0.430 0.142
0.715 0.570 0.858
0.428 0.145 0.715
0.572 0.855 0.285
```

=====

(7)
The following is a simulated PXRD pattern of AcMgGe2Au4. It was derived from a GGA-PBE-relaxed structure, using Cu Kα.
Intensities are scaled so that the largest is 100.

Largest 6 diffraction maxima, by angle, 10 to 80 degrees two-theta:
d = 3.242 Å, I = 41
d = 2.802 Å, I = 50
d = 2.604 Å, I = 66
d = 2.326 Å, I = 100
d = 1.735 Å, I = 20
d = 1.434 Å, I = 23

```
AcMgGe2Au4
1.0
2.326 1.343 9.102
-2.326 1.343 9.102
0.000 -2.686 9.102
Ac Mg Ge Au
1 1 2 4
direct
0.000 0.000 0.000
0.500 0.500 0.500
0.244 0.244 0.244
0.756 0.756 0.756
0.139 0.139 0.139
0.399 0.399 0.399
0.601 0.601 0.601
0.861 0.861 0.861
```

=====

(8)
The following is a simulated PXRD pattern of TlCu2SbCl6. It was derived from a GGA-PBE-relaxed structure, using Cu Kα.
Intensities are scaled so that the largest is 100.

Largest 6 diffraction maxima, by angle, 10 to 80 degrees two-theta:
d = 5.254 Å, I = 26
d = 3.997 Å, I = 100
d = 3.485 Å, I = 48
d = 2.627 Å, I = 26
d = 2.098 Å, I = 33
d = 2.012 Å, I = 34

```
TlCu2SbCl6
1.0
6.968 0.000 0.000
-3.482 6.037 0.000
-3.482 -2.008 7.113
Tl Cu Sb Cl
1 2 1 6
direct
0.000 0.000 0.000
0.473 0.236 0.709
0.526 0.764 0.290
0.000 0.500 0.500
0.181 0.277 0.721
0.184 0.459 0.279
0.445 0.904 0.721
0.555 0.097 0.279
0.817 0.540 0.721
0.821 0.726 0.280
```